CaTl2C2O6: calculated powder X-ray diffraction pattern (Cu Kα (weighted mean of Kα1 and Kα2)), based on a structure optimized by DFT (PBE).
Lines closer than 0.1° are merged.

Atomic structure:
Unit cell a=7.5090 b=7.5090 c=7.5090 alpha=42.76 beta=42.76 gamma=42.76
Fractional coordinates of all 11 atoms:
Ca  0.0000  0.0000  0.0000
Tl  0.2139  0.2139  0.2139
Tl  0.7861  0.7861  0.7861
C  0.4022  0.4022  0.4022
C  0.5978  0.5978  0.5978
O  0.2658  0.2658  0.6768
O  0.2658  0.6768  0.2658
O  0.3232  0.7342  0.7342
O  0.6768  0.2658  0.2658
O  0.7342  0.3232  0.7342
O  0.7342  0.7342  0.3232

Main lines, low angle first (2θ = 10–90°):
2θ/deg	d (Å)	I/Imax
13.0	6.811	27.0
20.7	4.301	76.5
25.6	3.475	31.6
28.8	3.096	100.0
32.7	2.738	64.2
35.3	2.540	23.6
36.1	2.486	30.9
39.0	2.310	32.1
42.0	2.151	20.5
44.2	2.051	22.2
52.4	1.748	28.4
56.0	1.641	23.0